No. 1
Theoretical powder X-ray diffraction pattern
Compound: Eu2Mn2O5
Radiation: Cu Kα (λ = 1.5418 Å)
Structure: a cell relaxed with GGA+U
Peak positions follow from Bragg's law for the DFT cell and can differ from measured ones.

Largest 10 diffraction maxima, in order of falling intensity, 5° ≤ 2θ ≤ 70°:
| Position (°2θ) | Rel. int. |
| --- | --- |
| 32.50 | 100 |
| 31.96 | 44 |
| 57.30 | 39 |
| 45.83 | 29 |
| 39.86 | 25 |
| 22.45 | 23 |
| 58.33 | 18 |
| 68.07 | 14 |
| 47.42 | 11 |
| 66.82 | 9 |

```
Eu2Mn2O5
1.0
3.9602 0.0000 0.0000
0.0000 3.9602 0.0000
0.0000 0.0000 7.6694
Eu Mn O
2 2 5
Direct
0.0000 0.0000 0.0000
0.0000 0.0000 0.5000
0.5000 0.5000 0.2382
0.5000 0.5000 0.7618
0.0000 0.5000 0.2052
0.0000 0.5000 0.7948
0.5000 0.0000 0.2052
0.5000 0.0000 0.7948
0.5000 0.5000 0.5000
```

No. 2
Theoretical powder X-ray diffraction pattern
Compound: Li4Ti3Fe5O16
Radiation: Cu Kα (λ = 1.5418 Å)
Structure: a cell relaxed with GGA+U
Peak positions follow from Bragg's law for the DFT cell and can differ from measured ones.

Largest 10 diffraction maxima, in order of falling intensity, 5° ≤ 2θ ≤ 70°:
| Position (°2θ) | Rel. int. |
| --- | --- |
| 18.34 | 100 |
| 19.95 | 75 |
| 19.83 | 53 |
| 64.66 | 38 |
| 36.08 | 36 |
| 32.88 | 36 |
| 40.54 | 29 |
| 36.48 | 28 |
| 45.57 | 28 |
| 35.95 | 27 |

```
Li4Ti3Fe5O16
1.0
4.9744 -2.9172 0.0000
4.9744 2.9172 0.0000
-0.1362 0.0000 9.6756
Li Ti Fe O
4 3 5 16
Direct
0.0000 0.0000 0.0000
0.0038 0.0038 0.4974
0.3459 0.3459 0.5960
0.6794 0.6794 0.1015
0.1824 0.1824 0.2720
0.3560 0.8467 0.7751
0.8467 0.3560 0.7751
0.1836 0.6652 0.2818
0.3486 0.3486 0.9968
0.6652 0.1836 0.2818
0.6783 0.6783 0.4908
0.8347 0.8347 0.7829
0.0030 0.0030 0.1874
0.0072 0.0072 0.6850
0.0458 0.4940 0.1591
0.1607 0.6806 0.8894
0.1722 0.1722 0.8956
0.3362 0.8410 0.3928
0.3456 0.3456 0.3889
0.4896 0.4896 0.1650
0.4940 0.0458 0.1591
0.5278 0.5278 0.6618
0.5337 0.9751 0.6550
0.6673 0.6673 0.8968
0.6806 0.1607 0.8894
0.8410 0.3362 0.3928
0.8466 0.8466 0.3822
0.9751 0.5337 0.6550
```

No. 3
Theoretical powder X-ray diffraction pattern
Compound: K4MgMo2S2O6
Radiation: Cu Kα (λ = 1.5418 Å)
Structure: a cell relaxed with GGA+U
Peak positions follow from Bragg's law for the DFT cell and can differ from measured ones.

Largest 10 diffraction maxima, in order of falling intensity, 5° ≤ 2θ ≤ 70°:
| Position (°2θ) | Rel. int. |
| --- | --- |
| 13.41 | 100 |
| 27.41 | 96 |
| 23.70 | 83 |
| 28.01 | 71 |
| 26.40 | 64 |
| 21.92 | 60 |
| 38.42 | 50 |
| 17.91 | 46 |
| 31.88 | 38 |
| 12.84 | 27 |

```
K4MgMo2S2O6
1.0
7.7947 -3.2542 0.0000
7.7947 3.2542 0.0000
-3.5614 0.0000 6.7531
K Mg Mo S O
4 1 2 2 6
Direct
0.0000 0.0000 0.0000
0.0237 0.0237 0.5977
0.4428 0.4428 0.1111
0.7454 0.7454 0.6143
0.2205 0.2205 0.1262
0.3556 0.3556 0.5763
0.6846 0.6846 0.0564
0.1851 0.1851 0.4248
0.8496 0.8496 0.1529
0.1632 0.6388 0.7138
0.3581 0.3581 0.3283
0.3853 0.9159 0.9424
0.6344 0.6344 0.2284
0.6388 0.1632 0.7138
0.9159 0.3853 0.9424
```